Theoretical powder X-ray diffraction pattern
Compound: Ba4Bi8Au3
Radiation: Cu Kα (λ = 1.5418 Å)
Structure: a PBE-relaxed structure
Lines closer than 0.1° are merged.

The 12 most intense peaks (15 to 90 degrees two-theta), low angle first:
| h k l | Position (°2θ) | Rel. int. |
| --- | --- | --- |
| 0 0 4 | 16.3 | 11 |
| 1 0 4 | 24.5 | 19 |
| 1 1 2 | 27.0 | 16 |
| 1 1 4 | 30.6 | 100 |
| 2 0 0 | 36.7 | 45 |
| 1 1 8 | 42.3 | 22 |
| 2 0 6 | 44.7 | 16 |
| 1 0 10 | 45.7 | 10 |
| 2 2 0 | 52.9 | 16 |
| 2 1 10 | 60.0 | 10 |
| 3 1 4 | 62.4 | 25 |
| 3 1 8 | 70.0 | 10 |

Atomic structure:
Cell lengths 4.8945, 4.8945, 21.7157 Å; angles 90.00, 90.00, 90.00 degrees
Space group P-4m2 (No. 115)
Symmetry-distinct sites (fractional):
1 Ba 0.0000 0.5000 0.1192
2 Ba 0.0000 0.5000 0.6210
3 Bi 0.0000 0.0000 0.2485
4 Bi 0.0000 0.5000 0.4253
5 Bi 0.0000 0.5000 0.9342
6 Bi 0.5000 0.5000 0.2515
7 Au 0.0000 0.0000 0.0000
8 Au 0.0000 0.0000 0.5000
9 Au 0.5000 0.5000 0.5000